No. 1
The following is a theoretical powder diffractogram of La2ErSi3Ni12. It was derived from a DFT-relaxed cell (PBE, Alexandria), using a wavelength of 1.5418 Å.
Kinematic intensities with the Lorentz-polarization factor, no thermal factor.

Atomic structure:
Cell: 6.3824 6.3824 6.3824 Å, 84.97 84.97 84.97°
Positions (direct):
La1 0.1392 0.1392 0.1392
La2 0.8608 0.8608 0.8608
Er1 0.5000 0.5000 0.5000
Si1 0.0000 0.5000 0.5000
Si2 0.5000 0.0000 0.5000
Si3 0.5000 0.5000 0.0000
Ni1 0.1249 0.1249 0.5791
Ni2 0.1249 0.5791 0.1249
Ni3 0.1871 0.6922 0.6922
Ni4 0.3078 0.3078 0.8129
Ni5 0.3078 0.8129 0.3078
Ni6 0.4209 0.8751 0.8751
Ni7 0.5791 0.1249 0.1249
Ni8 0.6922 0.1871 0.6922
Ni9 0.6922 0.6922 0.1871
Ni10 0.8129 0.3078 0.3078
Ni11 0.8751 0.4209 0.8751
Ni12 0.8751 0.8751 0.4209

Largest 8 diffraction maxima, in order of rising 2θ, 10 to 80 degrees two-theta:
3.995 Å, 2θ = 22.25°, I 255; 2.930 Å, 2θ = 30.51°, I 413; 2.282 Å, 2θ = 39.48°, I 224; 2.155 Å, 2θ = 41.92°, I 1000; 2.112 Å, 2θ = 42.81°, I 194; 2.017 Å, 2θ = 44.94°, I 158; 1.897 Å, 2θ = 47.96°, I 216; 1.827 Å, 2θ = 49.92°, I 188



No. 2
The following is a theoretical powder diffractogram of LaGa3B4O12. It was derived from a DFT-relaxed cell (PBE, Alexandria), using a wavelength of 1.5418 Å.
Kinematic intensities with the Lorentz-polarization factor, no thermal factor.

Atomic structure:
Cell: 6.1147 6.1147 6.1147 Å, 103.77 103.77 103.77°
Positions (direct):
La1 0.0000 0.0000 0.0000
Ga1 0.0000 0.5516 0.4484
Ga2 0.4484 0.0000 0.5516
Ga3 0.5516 0.4484 0.0000
B1 0.0556 0.5000 0.9444
B2 0.5000 0.5000 0.5000
B3 0.5000 0.9444 0.0556
B4 0.9444 0.0556 0.5000
O1 0.0265 0.6218 0.7832
O2 0.0899 0.9101 0.5000
O3 0.2168 0.3782 0.9735
O4 0.3549 0.6451 0.5000
O5 0.3782 0.9735 0.2168
O6 0.5000 0.0899 0.9101
O7 0.5000 0.3549 0.6451
O8 0.6218 0.7832 0.0265
O9 0.6451 0.5000 0.3549
O10 0.7832 0.0265 0.6218
O11 0.9101 0.5000 0.0899
O12 0.9735 0.2168 0.3782

Largest 8 diffraction maxima, in order of rising 2θ, 10 to 80 degrees two-theta:
4.811 Å, 2θ = 18.44°, I 183; 3.661 Å, 2θ = 24.31°, I 854; 2.913 Å, 2θ = 30.69°, I 230; 2.821 Å, 2θ = 31.72°, I 1000; 2.405 Å, 2θ = 37.39°, I 244; 1.979 Å, 2θ = 45.85°, I 252; 1.751 Å, 2θ = 52.23°, I 271; 1.741 Å, 2θ = 52.56°, I 198



No. 3
The following is a theoretical powder diffractogram of Ac6Pr5Nd2. It was derived from a DFT-relaxed cell (PBE, Alexandria), using a wavelength of 1.5418 Å.
Kinematic intensities with the Lorentz-polarization factor, no thermal factor.

Atomic structure:
Cell: 11.5543 24.1054 3.8012 Å, 90.00 90.00 90.00°
Positions (direct):
Ac1 0.0211 0.1114 0.0000
Ac2 0.1445 0.3847 0.0000
Ac3 0.1657 0.6334 0.5000
Ac4 0.3343 0.1334 0.5000
Ac5 0.3555 0.8847 0.0000
Ac6 0.4789 0.6114 0.0000
Ac7 0.5211 0.3886 0.0000
Ac8 0.6445 0.1153 0.0000
Ac9 0.6657 0.8666 0.5000
Ac10 0.8343 0.3666 0.5000
Ac11 0.8555 0.6153 0.0000
Ac12 0.9789 0.8886 0.0000
Pr1 0.0000 0.5000 0.5000
Pr2 0.0862 0.2484 0.5000
Pr3 0.1671 0.9960 0.5000
Pr4 0.3329 0.4960 0.5000
Pr5 0.4138 0.7484 0.5000
Pr6 0.5000 0.0000 0.5000
Pr7 0.5862 0.2516 0.5000
Pr8 0.6671 0.5040 0.5000
Pr9 0.8329 0.0040 0.5000
Pr10 0.9138 0.7516 0.5000
Nd1 0.1641 0.7688 0.0000
Nd2 0.3359 0.2688 0.0000
Nd3 0.6641 0.7312 0.0000
Nd4 0.8359 0.2312 0.0000

Largest 8 diffraction maxima, in order of rising 2θ, 10 to 80 degrees two-theta:
3.473 Å, 2θ = 25.65°, I 407; 3.459 Å, 2θ = 25.76°, I 329; 3.011 Å, 2θ = 29.67°, I 1000; 2.954 Å, 2θ = 30.26°, I 658; 2.809 Å, 2θ = 31.85°, I 244; 2.688 Å, 2θ = 33.34°, I 254; 2.652 Å, 2θ = 33.80°, I 326; 1.607 Å, 2θ = 57.33°, I 320



No. 4
The following is a theoretical powder diffractogram of La3SbN. It was derived from a DFT-relaxed cell (PBE, Alexandria), using a wavelength of 1.5418 Å.
Kinematic intensities with the Lorentz-polarization factor, no thermal factor.

Atomic structure:
Cell: 7.2913 7.2913 8.5772 Å, 107.52 107.52 42.96°
Positions (direct):
La1 0.0151 0.0151 0.2591
La2 0.2913 0.2913 0.1635
La3 0.2918 0.2918 0.6380
La4 0.7082 0.7082 0.3620
La5 0.7087 0.7087 0.8365
La6 0.9849 0.9849 0.7409
Sb1 0.5000 0.5000 0.0000
Sb2 0.5000 0.5000 0.5000
N1 0.1973 0.1973 0.3477
N2 0.8027 0.8027 0.6523

Largest 8 diffraction maxima, in order of rising 2θ, 10 to 80 degrees two-theta:
3.210 Å, 2θ = 27.79°, I 392; 2.973 Å, 2θ = 30.06°, I 1000; 2.958 Å, 2θ = 30.21°, I 917; 2.670 Å, 2θ = 33.56°, I 469; 2.143 Å, 2θ = 42.16°, I 282; 2.053 Å, 2θ = 44.12°, I 222; 1.672 Å, 2θ = 54.93°, I 256; 1.593 Å, 2θ = 57.90°, I 302



No. 5
The following is a theoretical powder diffractogram of Ni2PdS3. It was derived from a DFT-relaxed cell (PBE, Alexandria), using a wavelength of 1.5418 Å.
Kinematic intensities with the Lorentz-polarization factor, no thermal factor.

Atomic structure:
Cell: 11.7884 6.2535 11.2211 Å, 79.30 31.42 69.28°
Positions (direct):
Ni1 0.0000 0.0000 0.0000
Ni2 0.2500 0.2500 0.2500
Ni3 0.2937 0.6609 0.3466
Ni4 0.4143 0.4143 0.5857
Ni5 0.5512 0.9034 0.5891
Ni6 0.6609 0.2937 0.6988
Ni7 0.6643 0.6643 0.8357
Ni8 0.9034 0.5512 0.9563
Pd1 0.0756 0.3513 0.0618
Pd2 0.1882 0.7386 0.1744
Pd3 0.3513 0.0756 0.5114
Pd4 0.7386 0.1882 0.8987
S1 0.0327 0.1734 0.3081
S2 0.0363 0.5896 0.4757
S3 0.1734 0.0327 0.4858
S4 0.2303 0.4819 0.5769
S5 0.3516 0.7743 0.6604
S6 0.4819 0.2303 0.7109
S7 0.5391 0.6731 0.7681
S8 0.5896 0.0363 0.8984
S9 0.6731 0.5391 0.0197
S10 0.7642 0.9419 0.0766
S11 0.7743 0.3516 0.2137
S12 0.9419 0.7642 0.2173

Largest 8 diffraction maxima, in order of rising 2θ, 10 to 80 degrees two-theta:
2.947 Å, 2θ = 30.32°, I 1000; 2.910 Å, 2θ = 30.72°, I 904; 2.528 Å, 2θ = 35.51°, I 153; 1.973 Å, 2θ = 46.00°, I 129; 1.957 Å, 2θ = 46.40°, I 129; 1.805 Å, 2θ = 50.58°, I 137; 1.796 Å, 2θ = 50.83°, I 475; 1.534 Å, 2θ = 60.34°, I 192



No. 6
The following is a theoretical powder diffractogram of Ca2Zn15Ni2. It was derived from a DFT-relaxed cell (PBE, Alexandria), using a wavelength of 1.5418 Å.
Kinematic intensities with the Lorentz-polarization factor, no thermal factor.

Atomic structure:
Cell: 6.7754 6.7754 6.7754 Å, 82.70 82.70 82.70°
Positions (direct):
Ca1 0.1647 0.1647 0.1647
Ca2 0.8353 0.8353 0.8353
Zn1 0.0000 0.5000 0.5000
Zn2 0.1521 0.1521 0.6481
Zn3 0.1521 0.6481 0.1521
Zn4 0.2153 0.5000 0.7847
Zn5 0.2153 0.7847 0.5000
Zn6 0.3519 0.8479 0.8479
Zn7 0.5000 0.0000 0.5000
Zn8 0.5000 0.2153 0.7847
Zn9 0.5000 0.5000 0.0000
Zn10 0.5000 0.7847 0.2153
Zn11 0.6481 0.1521 0.1521
Zn12 0.7847 0.2153 0.5000
Zn13 0.7847 0.5000 0.2153
Zn14 0.8479 0.3519 0.8479
Zn15 0.8479 0.8479 0.3519
Ni1 0.4016 0.4016 0.4016
Ni2 0.5984 0.5984 0.5984

Largest 8 diffraction maxima, in order of rising 2θ, 10 to 80 degrees two-theta:
6.678 Å, 2θ = 13.26°, I 364; 4.476 Å, 2θ = 19.83°, I 279; 2.238 Å, 2θ = 40.30°, I 612; 2.226 Å, 2θ = 40.53°, I 830; 2.190 Å, 2θ = 41.22°, I 451; 2.176 Å, 2θ = 41.51°, I 281; 1.993 Å, 2θ = 45.51°, I 1000; 1.967 Å, 2θ = 46.14°, I 288